Record 1
# Zr2Al3Ni
Calculated PXRD pattern, Cu Kα, 1.54184 Å. Input: a PBE-relaxed structure.

Top 12 peaks for 10 to 80 degrees two-theta, by angle:
d_spacing, Position (°2θ), I_rel, hkl
4.138, 21.5, 24, 0 0 3
2.642, 33.9, 81, 1 1 0
2.569, 34.9, 33, 1 0 4
2.250, 40.1, 22, 0 2 1
2.227, 40.5, 100, 1 1 3
2.182, 41.4, 44, 0 1 5
2.147, 42.1, 18, 2 0 2
1.525, 60.7, 14, 3 0 0
1.431, 65.2, 23, 3 0 3
1.419, 65.8, 21, 1 2 5
1.321, 71.4, 19, 2 2 0
1.284, 73.8, 17, 2 0 8

Structural model:
```
data_Zr2Al3Ni
_space_group_name_H-M_alt 'R -3 m'
_space_group_IT_number 166
_space_group_name_Hall '-R 3 2"'
_cell_length_a 5.2833
_cell_length_b 5.2833
_cell_length_c 12.4154
_cell_angle_alpha 90.00
_cell_angle_beta 90.00
_cell_angle_gamma 120.00
loop_
_atom_site_label
_atom_site_type_symbol
_atom_site_fract_x
_atom_site_fract_y
_atom_site_fract_z
Zr1 Zr 0.0000 0.0000 0.1259
Al1 Al 0.0000 0.5000 0.0000
Ni1 Ni 0.0000 0.0000 0.5000
```

Record 2
# Zr6Al16Ni7
Calculated PXRD pattern, Cu Kα, 1.54184 Å. Input: a PBE-relaxed structure.

Top 12 peaks for 10 to 80 degrees two-theta, by angle:
d_spacing, Position (°2θ), I_rel, hkl
3.026, 29.5, 42, 4 0 0
2.777, 32.2, 39, 3 3 1
2.471, 36.4, 43, 4 2 2
2.329, 38.7, 91, 3 3 3
2.140, 42.2, 100, 4 4 0
2.017, 44.9, 22, 6 0 0
1.825, 50.0, 16, 6 2 2
1.576, 58.6, 14, 7 3 1
1.479, 62.8, 12, 7 3 3
1.426, 65.4, 27, 6 6 0
1.321, 71.4, 15, 8 4 2
1.216, 78.7, 20, 9 3 3

Structural model:
```
data_Zr6Al16Ni7
_space_group_name_H-M_alt 'F m -3 m'
_space_group_IT_number 225
_space_group_name_Hall '-F 4 2 3'
_cell_length_a 12.104
_cell_length_b 12.104
_cell_length_c 12.104
_cell_angle_alpha 90.00
_cell_angle_beta 90.00
_cell_angle_gamma 90.00
loop_
_atom_site_label
_atom_site_type_symbol
_atom_site_fract_x
_atom_site_fract_y
_atom_site_fract_z
Zr1 Zr 0.000 0.000 0.191
Al1 Al 0.119 0.119 0.381
Al2 Al 0.166 0.166 0.166
Ni1 Ni 0.000 0.000 0.500
Ni2 Ni 0.000 0.250 0.250
```

Record 3
# ZrAlNi
Calculated PXRD pattern, Cu Kα, 1.54184 Å. Input: a PBE-relaxed structure.

Top 12 peaks for 10 to 80 degrees two-theta, by angle:
d_spacing, Position (°2θ), I_rel, hkl
4.706, 18.9, 40, 0 1 1
3.700, 24.1, 50, 1 0 1
2.619, 34.2, 100, 1 2 1
2.353, 38.3, 65, 0 2 2
2.087, 43.3, 26, 2 1 1
1.972, 46.0, 28, 2 2 0
1.958, 46.4, 13, 0 1 3
1.861, 48.9, 15, 1 0 3
1.851, 49.2, 59, 0 4 0
1.394, 67.1, 13, 3 2 1
1.309, 72.1, 21, 2 4 2
1.205, 79.5, 20, 2 2 4

Structural model:
```
data_ZrAlNi
_space_group_name_H-M_alt 'I m m a'
_space_group_IT_number 74
_space_group_name_Hall '-I 2b 2'
_cell_length_a 4.658
_cell_length_b 7.413
_cell_length_c 6.090
_cell_angle_alpha 90.00
_cell_angle_beta 90.00
_cell_angle_gamma 90.00
loop_
_atom_site_label
_atom_site_type_symbol
_atom_site_fract_x
_atom_site_fract_y
_atom_site_fract_z
Zr1 Zr 0.000 0.000 0.000
Al1 Al 0.000 0.250 0.392
Ni1 Ni 0.250 0.250 0.750
```

Record 4
# Np3Al
Calculated PXRD pattern, Cu Kα, 1.54184 Å. Input: a PBE-relaxed structure.

Top 11 peaks for 10 to 80 degrees two-theta, by angle:
d_spacing, Position (°2θ), I_rel, hkl
4.307, 20.6, 24, 1 0 0
3.045, 29.3, 21, 1 1 0
2.487, 36.1, 100, 1 1 1
2.153, 42.0, 50, 2 0 0
1.926, 47.2, 12, 2 1 0
1.758, 52.0, 9, 2 1 1
1.523, 60.8, 34, 2 2 0
1.436, 65.0, 6, 3 0 0
1.362, 69.0, 4, 3 1 0
1.299, 72.8, 41, 3 1 1
1.243, 76.6, 12, 2 2 2

Structural model:
```
data_Np3Al
_space_group_name_H-M_alt 'P m -3 m'
_space_group_IT_number 221
_space_group_name_Hall '-P 4 2 3'
_cell_length_a 4.307
_cell_length_b 4.307
_cell_length_c 4.307
_cell_angle_alpha 90.00
_cell_angle_beta 90.00
_cell_angle_gamma 90.00
loop_
_atom_site_label
_atom_site_type_symbol
_atom_site_fract_x
_atom_site_fract_y
_atom_site_fract_z
Np1 Np 0.000 0.000 0.500
Al1 Al 0.500 0.500 0.500
```

Record 5
# NpAlO3
Calculated PXRD pattern, Cu Kα, 1.54184 Å. Input: a PBE-relaxed structure.

Top 8 peaks for 10 to 80 degrees two-theta, by angle:
d_spacing, Position (°2θ), I_rel, hkl
3.766, 23.6, 70, 1 0 0
2.663, 33.7, 100, 1 1 0
2.174, 41.5, 41, 1 1 1
1.883, 48.3, 29, 2 0 0
1.684, 54.5, 33, 2 1 0
1.537, 60.2, 40, 2 1 1
1.331, 70.8, 18, 2 2 0
1.255, 75.8, 16, 3 0 0

Structural model:
```
data_NpAlO3
_space_group_name_H-M_alt 'P m -3 m'
_space_group_IT_number 221
_space_group_name_Hall '-P 4 2 3'
_cell_length_a 3.766
_cell_length_b 3.766
_cell_length_c 3.766
_cell_angle_alpha 90.00
_cell_angle_beta 90.00
_cell_angle_gamma 90.00
loop_
_atom_site_label
_atom_site_type_symbol
_atom_site_fract_x
_atom_site_fract_y
_atom_site_fract_z
Np1 Np 0.000 0.000 0.000
Al1 Al 0.500 0.500 0.500
O1 O 0.000 0.500 0.500
```

Record 6
# NpAl3Pd2
Calculated PXRD pattern, Cu Kα, 1.54184 Å. Input: a PBE-relaxed structure.

Top 12 peaks for 10 to 80 degrees two-theta, by angle:
d_spacing, Position (°2θ), I_rel, hkl
4.740, 18.7, 11, 1 0 0
4.187, 21.2, 47, 0 0 1
3.138, 28.4, 23, 1 0 1
2.737, 32.7, 65, 1 1 0
2.291, 39.3, 100, 1 1 1
2.093, 43.2, 16, 0 0 2
1.663, 55.2, 29, 1 1 2
1.580, 58.4, 12, 3 0 0
1.478, 62.9, 25, 3 0 1
1.368, 68.6, 12, 2 2 0
1.261, 75.4, 12, 3 0 2
1.243, 76.6, 14, 1 1 3

Structural model:
```
data_NpAl3Pd2
_space_group_name_H-M_alt 'P 6/m m m'
_space_group_IT_number 191
_space_group_name_Hall '-P 6 2'
_cell_length_a 5.4737
_cell_length_b 5.4737
_cell_length_c 4.1865
_cell_angle_alpha 90.00
_cell_angle_beta 90.00
_cell_angle_gamma 120.00
loop_
_atom_site_label
_atom_site_type_symbol
_atom_site_fract_x
_atom_site_fract_y
_atom_site_fract_z
Np1 Np 0.0000 0.0000 0.0000
Al1 Al 0.0000 0.5000 0.5000
Pd1 Pd 0.3333 0.6667 0.0000
```

Record 7
# NpAl2Pd5
Calculated PXRD pattern, Cu Kα, 1.54184 Å. Input: a PBE-relaxed structure.

Top 12 peaks for 10 to 80 degrees two-theta, by angle:
d_spacing, Position (°2θ), I_rel, hkl
7.516, 11.8, 20, 0 0 2
4.025, 22.1, 10, 1 0 1
2.749, 32.6, 42, 1 1 2
2.505, 35.8, 18, 0 0 6
2.323, 38.8, 100, 1 1 4
2.089, 43.3, 42, 2 0 0
1.604, 57.4, 19, 2 0 6
1.477, 62.9, 14, 2 2 0
1.397, 67.0, 13, 2 0 8
1.340, 70.3, 14, 1 1 10
1.272, 74.6, 9, 2 2 6
1.246, 76.4, 28, 3 1 4

Structural model:
```
data_NpAl2Pd5
_space_group_name_H-M_alt 'I 4/m m m'
_space_group_IT_number 139
_space_group_name_Hall '-I 4 2'
_cell_length_a 4.178
_cell_length_b 4.178
_cell_length_c 15.033
_cell_angle_alpha 90.00
_cell_angle_beta 90.00
_cell_angle_gamma 90.00
loop_
_atom_site_label
_atom_site_type_symbol
_atom_site_fract_x
_atom_site_fract_y
_atom_site_fract_z
Np1 Np 0.000 0.000 0.000
Al1 Al 0.000 0.000 0.253
Pd1 Pd 0.000 0.000 0.500
Pd2 Pd 0.000 0.500 0.145
```

Record 8
# AlO3
Calculated PXRD pattern, Cu Kα, 1.54184 Å. Input: a PBE-relaxed structure.

Top 12 peaks for 10 to 80 degrees two-theta, by angle:
d_spacing, Position (°2θ), I_rel, hkl
4.881, 18.2, 85, 0 0 2
4.114, 21.6, 100, 1 1 1
3.975, 22.4, 89, 0 2 0
2.291, 39.3, 41, 1 2 3
2.269, 39.7, 20, 2 2 0
1.926, 47.2, 13, 1 3 3
1.794, 50.9, 22, 1 1 5
1.613, 57.1, 14, 2 4 0
1.532, 60.4, 18, 2 4 2
1.512, 61.3, 11, 1 3 5
1.383, 67.8, 13, 1 5 3
1.321, 71.4, 13, 3 1 5

Structural model:
```
data_AlO3
_space_group_name_H-M_alt 'P b c a'
_space_group_IT_number 61
_cell_length_a 5.525
_cell_length_b 7.949
_cell_length_c 9.763
_cell_angle_alpha 90.00
_cell_angle_beta 90.00
_cell_angle_gamma 90.00
loop_
_space_group_symop_operation_xyz
'x,y,z'
'-x,-y,-z'
'-x+1/2,-y,z+1/2'
'x+1/2,y,-z+1/2'
'x+1/2,-y+1/2,-z'
'-x+1/2,y+1/2,z'
'-x,y+1/2,-z+1/2'
'x,-y+1/2,z+1/2'
loop_
_atom_site_label
_atom_site_type_symbol
_atom_site_fract_x
_atom_site_fract_y
_atom_site_fract_z
Al1 Al 0.023 0.010 0.197
O1 O 0.064 0.074 0.994
O2 O 0.184 0.102 0.690
O3 O 0.234 0.132 0.300
```

Record 9
# AlO3
Calculated PXRD pattern, Cu Kα, 1.54184 Å. Input: a PBE-relaxed structure.

Top 12 peaks for 10 to 80 degrees two-theta, by angle:
d_spacing, Position (°2θ), I_rel, hkl
7.423, 11.9, 100, 2 0 0
3.606, 24.7, 51, 1 1 0
2.972, 30.1, 51, 3 1 0
2.549, 35.2, 47, 2 0 1
2.104, 43.0, 17, 4 0 1
2.097, 43.1, 37, 6 0 -1
1.858, 49.0, 16, 0 2 0
1.803, 50.6, 26, 2 2 0
1.729, 53.0, 11, 6 0 1
1.486, 62.5, 14, 2 0 -2
1.393, 67.2, 20, 4 2 1
1.391, 67.3, 11, 6 2 -1

Structural model:
```
data_AlO3
_space_group_name_H-M_alt 'C 1 2 1'
_space_group_IT_number 5
_cell_length_a 15.131
_cell_length_b 3.717
_cell_length_c 2.972
_cell_angle_alpha 90.00
_cell_angle_beta 101.15
_cell_angle_gamma 90.00
loop_
_space_group_symop_operation_xyz
'x,y,z'
'-x,y,-z'
'x+1/2,y+1/2,z'
'-x+1/2,y+1/2,-z'
loop_
_atom_site_label
_atom_site_type_symbol
_atom_site_fract_x
_atom_site_fract_y
_atom_site_fract_z
Al1 Al 0.193 0.000 0.195
O1 O 0.034 0.723 0.411
O2 O 0.112 0.020 0.610
O3 O 0.218 0.502 0.217
```

Record 10
# Al11O18
Calculated PXRD pattern, Cu Kα, 1.54184 Å. Input: a PBE-relaxed structure.

Top 12 peaks for 10 to 80 degrees two-theta, by angle:
d_spacing, Position (°2θ), I_rel, hkl
5.715, 15.5, 100, 0 4 0
4.506, 19.7, 40, 0 2 1
2.830, 31.6, 30, 2 0 -1
2.718, 33.0, 78, 1 7 -1
2.536, 35.4, 56, 2 4 -1
2.272, 39.7, 27, 1 6 1
2.160, 41.8, 39, 0 5 2
2.061, 43.9, 42, 2 6 0
1.960, 46.3, 29, 2 7 -2
1.585, 58.2, 26, 0 11 2
1.429, 65.3, 36, 2 13 -2
1.359, 69.1, 34, 2 14 0

Structural model:
```
data_Al11O18
_space_group_name_H-M_alt 'P 1 21/m 1'
_space_group_IT_number 11
_cell_length_a 5.651
_cell_length_b 22.860
_cell_length_c 5.663
_cell_angle_alpha 90.00
_cell_angle_beta 119.88
_cell_angle_gamma 90.00
loop_
_space_group_symop_operation_xyz
'x,y,z'
'-x,-y,-z'
'-x,y+1/2,-z'
'x,-y+1/2,z'
loop_
_atom_site_label
_atom_site_type_symbol
_atom_site_fract_x
_atom_site_fract_y
_atom_site_fract_z
Al1 Al 0.000 0.000 0.000
Al2 Al 0.167 0.107 0.334
Al3 Al 0.167 0.107 0.832
Al4 Al 0.332 0.675 0.668
Al5 Al 0.333 0.525 0.666
Al6 Al 0.335 0.607 0.168
O1 O 0.000 0.140 0.000
O2 O 0.003 0.144 0.502
O3 O 0.157 0.549 0.842
O4 O 0.158 0.550 0.315
O5 O 0.291 0.250 0.589
O6 O 0.315 0.049 0.158
O7 O 0.318 0.750 0.675
O8 O 0.334 0.056 0.666
O9 O 0.499 0.144 0.998
O10 O 0.499 0.145 0.501
```

Record 11
# AlO3
Calculated PXRD pattern, Cu Kα, 1.54184 Å. Input: a PBE-relaxed structure.

Top 12 peaks for 10 to 80 degrees two-theta, by angle:
d_spacing, Position (°2θ), I_rel, hkl
4.696, 18.9, 100, 1 0 0
4.020, 22.1, 58, 0 0 1
3.054, 29.2, 28, 1 0 1
2.248, 40.1, 86, 2 -1 1
1.624, 56.7, 16, 3 -1 1
1.615, 57.0, 35, 2 -1 2
1.565, 59.0, 22, 3 0 0
1.527, 60.6, 13, 2 0 2
1.459, 63.8, 12, 3 0 1
1.285, 73.8, 8, 2 2 1
1.239, 76.9, 10, 3 1 1
1.201, 79.8, 11, 1 1 3

Structural model:
```
data_AlO3
_space_group_name_H-M_alt 'P -3 1 m'
_space_group_IT_number 162
_space_group_name_Hall '-P 3 2'
_cell_length_a 5.4228
_cell_length_b 5.4228
_cell_length_c 4.0196
_cell_angle_alpha 90.00
_cell_angle_beta 90.00
_cell_angle_gamma 120.00
loop_
_atom_site_label
_atom_site_type_symbol
_atom_site_fract_x
_atom_site_fract_y
_atom_site_fract_z
Al1 Al 0.3333 0.6667 0.0000
O1 O 0.0000 0.3904 0.2187
```